# V2P5O16
Simulated X-ray diffraction stick pattern, λ = 1.5418 Å (Cu Kα). Input: a GGA+U-relaxed structure.
No peak broadening, texture or thermal motion is included.

Principal peaks in the range 10° ≤ 2θ ≤ 90°, low angle first:
- 2θ 13.79, I = 98
- 2θ 15.98, I = 41
- 2θ 18.61, I = 69
- 2θ 19.77, I = 20
- 2θ 22.11, I = 100
- 2θ 22.23, I = 31
- 2θ 28.07, I = 31
- 2θ 31.86, I = 43
- 2θ 32.26, I = 24
- 2θ 32.84, I = 25

Structure:
Cell: 5.135 6.818 19.072 Å, 90.00 90.90 90.00°
Positions (direct):
V1 0.249 0.181 0.093
V2 0.249 0.819 0.593
V3 0.751 0.181 0.407
V4 0.751 0.819 0.907
P1 0.247 0.464 0.369
P2 0.247 0.536 0.869
P3 0.255 0.125 0.924
P4 0.255 0.875 0.424
P5 0.500 0.274 0.250
P6 0.500 0.726 0.750
P7 0.745 0.125 0.576
P8 0.745 0.875 0.076
P9 0.753 0.464 0.131
P10 0.753 0.536 0.631
O1 0.033 0.414 0.116
O2 0.033 0.586 0.616
O3 0.047 0.010 0.393
O4 0.047 0.990 0.893
O5 0.179 0.213 0.994
O6 0.179 0.787 0.494
O7 0.274 0.305 0.869
O8 0.274 0.695 0.369
O9 0.302 0.423 0.287
O10 0.302 0.577 0.787
O11 0.349 0.159 0.196
O12 0.349 0.841 0.696
O13 0.452 0.368 0.415
O14 0.452 0.632 0.915
O15 0.473 0.039 0.576
O16 0.473 0.961 0.076
O17 0.527 0.039 0.924
O18 0.527 0.961 0.424
O19 0.548 0.368 0.085
O20 0.548 0.632 0.585
O21 0.651 0.159 0.304
O22 0.651 0.841 0.804
O23 0.698 0.423 0.213
O24 0.698 0.577 0.713
O25 0.726 0.305 0.631
O26 0.726 0.695 0.131
O27 0.821 0.213 0.506
O28 0.821 0.787 0.006
O29 0.953 0.010 0.107
O30 0.953 0.990 0.607
O31 0.967 0.414 0.384
O32 0.967 0.586 0.884

---

# SrEuCrSnO6
Simulated X-ray diffraction stick pattern, λ = 1.5418 Å (Cu Kα). Input: a GGA+U-relaxed structure.
No peak broadening, texture or thermal motion is included.

Principal peaks in the range 10° ≤ 2θ ≤ 90°, low angle first:
- 2θ 19.19, I = 12
- 2θ 31.59, I = 100
- 2θ 37.22, I = 8
- 2θ 38.94, I = 7
- 2θ 45.28, I = 32
- 2θ 49.60, I = 4
- 2θ 56.25, I = 40
- 2θ 65.96, I = 20
- 2θ 74.98, I = 17
- 2θ 83.62, I = 7

Structure:
Cell: 5.665 5.665 5.665 Å, 60.00 60.00 60.00°
Positions (direct):
Sr1 0.000 0.000 0.000
Eu1 0.500 0.500 0.500
Cr1 0.250 0.250 0.250
Sn1 0.750 0.750 0.750
O1 0.005 0.005 0.495
O2 0.005 0.495 0.005
O3 0.005 0.495 0.495
O4 0.495 0.005 0.005
O5 0.495 0.005 0.495
O6 0.495 0.495 0.005